[1]
This entry pairs a crystal structure of Nd3Dy2Y6 with its theoretical powder XRD pattern. Radiation: Cu Kα. Structure: DFT lattice parameters and positions (PBE).
Peak positions follow from Bragg's law for the DFT cell and can differ from measured ones.

Largest 10 diffraction maxima, in order of rising 2θ, 5° ≤ 2θ ≤ 70°:
Position (°2θ), I (rel.), (hkl)
30.6, 100, 1 3 1
31.2, 31, 0 0 4
35.6, 45, 1 3 -3
35.7, 22, 2 0 2
50.9, 16, 3 3 -1
51.8, 15, 1 3 5
60.4, 9, 2 6 -2
60.8, 18, 3 3 -5
61.0, 9, 3 3 3
63.6, 12, 4 0 -4

Structure:
```
data_Nd3Dy2Y6
_chemical_formula_sum 'Nd6 Dy4 Y12'
_space_group_name_H-M_alt 'C 1 2/m 1'
_space_group_IT_number 12
_space_group_name_Hall '-C 2y'
_cell_length_a 6.2141
_cell_length_b 10.7917
_cell_length_c 11.6480
_cell_angle_alpha 90.00
_cell_angle_beta 100.47
_cell_angle_gamma 90.00
loop_
_atom_site_label
_atom_site_type_symbol
_atom_site_fract_x
_atom_site_fract_y
_atom_site_fract_z
Nd1 Nd 0.0000 0.0000 0.0000
Nd2 Nd 0.0000 0.3356 0.0000
Dy1 Dy 0.0000 0.1660 0.5000
Y1 Y 0.2475 0.3338 0.7451
Y2 Y 0.2490 0.0000 0.7457
```

---

[2]
This entry pairs a crystal structure of ScHg4Os with its theoretical powder XRD pattern. Radiation: Cu Kα. Structure: DFT lattice parameters and positions (PBE).
Peak positions follow from Bragg's law for the DFT cell and can differ from measured ones.

Largest 10 diffraction maxima, in order of rising 2θ, 5° ≤ 2θ ≤ 70°:
Position (°2θ), I (rel.), (hkl)
19.4, 34, 1 1 1
22.5, 5, 2 0 0
32.0, 13, 2 2 0
37.7, 100, 3 1 1
39.4, 60, 2 2 2
45.8, 15, 4 0 0
50.2, 9, 3 3 1
57.0, 5, 4 2 2
60.8, 33, 3 3 3
66.8, 31, 4 4 0

Structure:
```
data_ScHg4Os
_chemical_formula_sum 'Sc4 Hg16 Os4'
_space_group_name_H-M_alt 'F -4 3 m'
_space_group_IT_number 216
_space_group_name_Hall 'F -4 2 3'
_cell_length_a 7.9178
_cell_length_b 7.9178
_cell_length_c 7.9178
_cell_angle_alpha 90.00
_cell_angle_beta 90.00
_cell_angle_gamma 90.00
loop_
_atom_site_label
_atom_site_type_symbol
_atom_site_fract_x
_atom_site_fract_y
_atom_site_fract_z
Sc1 Sc 0.0000 0.0000 0.0000
Hg1 Hg 0.1246 0.1246 0.6246
Os1 Os 0.2500 0.2500 0.2500
```

---

[3]
This entry pairs a crystal structure of NdDy5Y2 with its theoretical powder XRD pattern. Radiation: Cu Kα. Structure: DFT lattice parameters and positions (PBE).
Peak positions follow from Bragg's law for the DFT cell and can differ from measured ones.

Largest 10 diffraction maxima, in order of rising 2θ, 5° ≤ 2θ ≤ 70°:
Position (°2θ), I (rel.), (hkl)
17.6, 4, 1 2 0
25.0, 3, 1 2 1
30.7, 100, 2 0 1
35.6, 34, 2 4 0
35.7, 17, 0 0 2
44.0, 2, 3 2 1
51.2, 36, 4 0 0
60.9, 28, 4 4 1
61.0, 14, 2 0 3
63.9, 12, 4 0 2

Structure:
```
data_NdDy5Y2
_chemical_formula_sum 'Nd2 Dy10 Y4'
_space_group_name_H-M_alt 'P b a m'
_space_group_IT_number 55
_space_group_name_Hall '-P 2 2ab'
_cell_length_a 7.1406
_cell_length_b 14.2843
_cell_length_c 5.0343
_cell_angle_alpha 90.00
_cell_angle_beta 90.00
_cell_angle_gamma 90.00
loop_
_atom_site_label
_atom_site_type_symbol
_atom_site_fract_x
_atom_site_fract_y
_atom_site_fract_z
Nd1 Nd 0.0000 0.0000 0.0000
Dy1 Dy 0.9997 0.2510 0.0000
Dy2 Dy 0.0000 0.5000 0.0000
Dy3 Dy 0.2490 0.3742 0.5000
Y1 Y 0.2503 0.1257 0.5000
```

---

[4]
This entry pairs a crystal structure of Ti4TcSn2 with its theoretical powder XRD pattern. Radiation: Cu Kα. Structure: DFT lattice parameters and positions (PBE).
Peak positions follow from Bragg's law for the DFT cell and can differ from measured ones.

Largest 10 diffraction maxima, in order of rising 2θ, 5° ≤ 2θ ≤ 70°:
Position (°2θ), I (rel.), (hkl)
21.8, 24, 2 0 0
27.5, 60, 1 3 0
32.0, 100, 1 1 1
33.5, 29, 2 3 0
37.1, 62, 3 2 0
37.4, 71, 2 1 1
40.3, 36, 2 2 1
45.0, 58, 0 4 1
45.2, 24, 4 1 0
47.7, 50, 3 2 1

Structure:
```
data_Ti4TcSn2
_chemical_formula_sum 'Ti8 Tc2 Sn4'
_space_group_name_H-M_alt 'P b a m'
_space_group_IT_number 55
_space_group_name_Hall '-P 2 2ab'
_cell_length_a 8.1584
_cell_length_b 10.6214
_cell_length_c 3.0968
_cell_angle_alpha 90.00
_cell_angle_beta 90.00
_cell_angle_gamma 90.00
loop_
_atom_site_label
_atom_site_type_symbol
_atom_site_fract_x
_atom_site_fract_y
_atom_site_fract_z
Ti1 Ti 0.1355 0.1960 0.0000
Ti2 Ti 0.2119 0.9036 0.5000
Tc1 Tc 0.0000 0.0000 0.0000
Sn1 Sn 0.0723 0.6352 0.5000
```

---

[5]
This entry pairs a crystal structure of PdRh2 with its theoretical powder XRD pattern. Radiation: Cu Kα. Structure: DFT lattice parameters and positions (PBE).
Peak positions follow from Bragg's law for the DFT cell and can differ from measured ones.

Largest 5 diffraction maxima, in order of rising 2θ, 5° ≤ 2θ ≤ 70°:
Position (°2θ), I (rel.), (hkl)
40.3, 100, 3 1 0
46.9, 32, 4 0 -2
47.0, 16, 0 2 0
68.5, 20, 6 0 0
68.5, 10, 4 2 -2

Structure:
```
data_PdRh2
_chemical_formula_sum 'Pd4 Rh8'
_space_group_name_H-M_alt 'C 1 2/m 1'
_space_group_IT_number 12
_space_group_name_Hall '-C 2y'
_cell_length_a 8.6677
_cell_length_b 3.8696
_cell_length_c 5.4863
_cell_angle_alpha 90.00
_cell_angle_beta 108.40
_cell_angle_gamma 90.00
loop_
_atom_site_label
_atom_site_type_symbol
_atom_site_fract_x
_atom_site_fract_y
_atom_site_fract_z
Pd1 Pd 0.1668 0.0000 0.0828
Rh1 Rh 0.0038 0.5000 0.2577
Rh2 Rh 0.1635 0.0000 0.5771
```

---

[6]
This entry pairs a crystal structure of RbHo4Te6 with its theoretical powder XRD pattern. Radiation: Cu Kα. Structure: DFT lattice parameters and positions (PBE).
Peak positions follow from Bragg's law for the DFT cell and can differ from measured ones.

Largest 10 diffraction maxima, in order of rising 2θ, 5° ≤ 2θ ≤ 70°:
Position (°2θ), I (rel.), (hkl)
7.6, 52, 0 0 2
26.0, 57, 0 2 6
27.5, 77, 1 3 1
28.3, 100, 1 3 2
29.6, 99, 0 2 7
37.5, 33, 1 1 8
40.2, 62, 0 6 4
40.8, 46, 2 0 0
40.9, 36, 1 1 9
41.9, 55, 1 5 5

Structure:
```
data_RbHo4Te6
_chemical_formula_sum 'Rb4 Ho16 Te24'
_space_group_name_H-M_alt 'C m c m'
_space_group_IT_number 63
_space_group_name_Hall '-C 2c 2'
_cell_length_a 4.4254
_cell_length_b 14.5945
_cell_length_c 23.2419
_cell_angle_alpha 90.00
_cell_angle_beta 90.00
_cell_angle_gamma 90.00
loop_
_atom_site_label
_atom_site_type_symbol
_atom_site_fract_x
_atom_site_fract_y
_atom_site_fract_z
Rb1 Rb 0.0000 0.1616 0.2500
Ho1 Ho 0.0000 0.0930 0.6296
Ho2 Ho 0.0000 0.3653 0.5389
Te1 Te 0.0000 0.0000 0.0000
Te2 Te 0.0000 0.1478 0.7500
Te3 Te 0.0000 0.2707 0.0819
Te4 Te 0.0000 0.4579 0.6529
```

---

[7]
This entry pairs a crystal structure of Ti5Co4Ir with its theoretical powder XRD pattern. Radiation: Cu Kα. Structure: DFT lattice parameters and positions (PBE).
Peak positions follow from Bragg's law for the DFT cell and can differ from measured ones.

Largest 10 diffraction maxima, in order of rising 2θ, 5° ≤ 2θ ≤ 70°:
Position (°2θ), I (rel.), (hkl)
5.8, 64, 0 0 1
11.5, 18, 0 0 2
30.1, 12, 1 0 0
30.7, 9, 1 0 1
32.3, 9, 1 0 2
34.9, 8, 1 0 3
38.3, 11, 1 0 4
42.3, 100, 1 0 5
43.1, 49, 1 1 0
62.6, 15, 2 0 0

Structure:
```
data_Ti5Co4Ir
_chemical_formula_sum 'Ti5 Co4 Ir1'
_space_group_name_H-M_alt 'P 4/m m m'
_space_group_IT_number 123
_space_group_name_Hall '-P 4 2'
_cell_length_a 2.9695
_cell_length_b 2.9695
_cell_length_c 15.3646
_cell_angle_alpha 90.00
_cell_angle_beta 90.00
_cell_angle_gamma 90.00
loop_
_atom_site_label
_atom_site_type_symbol
_atom_site_fract_x
_atom_site_fract_y
_atom_site_fract_z
Ti1 Ti 0.0000 0.0000 0.0000
Ti2 Ti 0.0000 0.0000 0.1937
Ti3 Ti 0.0000 0.0000 0.3896
Co1 Co 0.5000 0.5000 0.0959
Co2 Co 0.5000 0.5000 0.2917
Ir1 Ir 0.5000 0.5000 0.5000
```

---

[8]
This entry pairs a crystal structure of Ac3Ga8Pb3 with its theoretical powder XRD pattern. Radiation: Cu Kα. Structure: DFT lattice parameters and positions (PBE).
Peak positions follow from Bragg's law for the DFT cell and can differ from measured ones.

Largest 10 diffraction maxima, in order of rising 2θ, 5° ≤ 2θ ≤ 70°:
Position (°2θ), I (rel.), (hkl)
26.8, 17, 1 2 1
31.6, 100, 1 2 3
31.7, 11, 0 3 3
34.9, 10, 1 3 2
35.3, 41, 0 0 6
39.3, 21, 2 0 0
49.6, 9, 1 2 7
53.8, 22, 2 0 6
61.0, 27, 1 6 3
66.4, 12, 3 2 3

Structure:
```
data_Ac3Ga8Pb3
_chemical_formula_sum 'Ac6 Ga16 Pb6'
_space_group_name_H-M_alt 'I m m m'
_space_group_IT_number 71
_space_group_name_Hall '-I 2 2'
_cell_length_a 4.5876
_cell_length_b 10.1727
_cell_length_c 15.2659
_cell_angle_alpha 90.00
_cell_angle_beta 90.00
_cell_angle_gamma 90.00
loop_
_atom_site_label
_atom_site_type_symbol
_atom_site_fract_x
_atom_site_fract_y
_atom_site_fract_z
Ac1 Ac 0.0000 0.0000 0.0000
Ac2 Ac 0.0000 0.0000 0.3122
Ga1 Ga 0.0000 0.2617 0.1574
Ga2 Ga 0.0000 0.3701 0.3235
Pb1 Pb 0.0000 0.2377 0.5000
Pb2 Pb 0.0000 0.5000 0.0000
```

---

[9]
This entry pairs a crystal structure of TlCuGe2Se6 with its theoretical powder XRD pattern. Radiation: Cu Kα. Structure: DFT lattice parameters and positions (PBE).
Peak positions follow from Bragg's law for the DFT cell and can differ from measured ones.

Largest 10 diffraction maxima, in order of rising 2θ, 5° ≤ 2θ ≤ 70°:
Position (°2θ), I (rel.), (hkl)
19.1, 60, 1 1 1
19.9, 68, 2 2 0
22.0, 87, 1 3 0
22.5, 91, 3 1 0
27.5, 100, 1 3 1
29.4, 76, 3 3 -1
31.2, 90, 0 4 1
31.4, 82, 4 0 -2
41.5, 61, 2 2 -3
50.3, 55, 2 6 -2

Structure:
```
data_TlCuGe2Se6
_chemical_formula_sum 'Tl4 Cu4 Ge8 Se24'
_space_group_name_H-M_alt 'C 1 2/c 1'
_space_group_IT_number 15
_space_group_name_Hall '-C 2yc'
_cell_length_a 13.5039
_cell_length_b 12.8055
_cell_length_c 6.9550
_cell_angle_alpha 90.00
_cell_angle_beta 112.72
_cell_angle_gamma 90.00
loop_
_atom_site_label
_atom_site_type_symbol
_atom_site_fract_x
_atom_site_fract_y
_atom_site_fract_z
Tl1 Tl 0.0000 0.1797 0.2500
Cu1 Cu 0.0000 0.2049 0.7500
Ge1 Ge 0.2047 0.4216 0.2299
Se1 Se 0.1015 0.0730 0.6340
Se2 Se 0.1303 0.4334 0.4939
Se3 Se 0.1405 0.2501 0.0772
```

---

[10]
This entry pairs a crystal structure of Ac12LaPm5 with its theoretical powder XRD pattern. Radiation: Cu Kα. Structure: DFT lattice parameters and positions (PBE).
Peak positions follow from Bragg's law for the DFT cell and can differ from measured ones.

Largest 10 diffraction maxima, in order of rising 2θ, 5° ≤ 2θ ≤ 70°:
Position (°2θ), I (rel.), (hkl)
26.1, 21, 0 3 3
26.3, 13, 0 0 6
28.5, 37, 2 0 0
29.8, 100, 1 3 3
30.0, 46, 1 0 6
39.0, 15, 2 3 3
46.3, 19, 0 3 9
51.3, 23, 3 3 3
55.3, 23, 2 3 9
55.7, 16, 1 6 6

Structure:
```
data_Ac12LaPm5
_chemical_formula_sum 'Ac24 La2 Pm10'
_space_group_name_H-M_alt 'A m m 2'
_space_group_IT_number 38
_space_group_name_Hall 'A 2 -2'
_cell_length_a 6.2651
_cell_length_b 11.8843
_cell_length_c 20.3118
_cell_angle_alpha 90.00
_cell_angle_beta 90.00
_cell_angle_gamma 90.00
loop_
_atom_site_label
_atom_site_type_symbol
_atom_site_fract_x
_atom_site_fract_y
_atom_site_fract_z
Ac1 Ac 0.0000 0.1623 0.0000
Ac2 Ac 0.0000 0.1616 0.3326
Ac3 Ac 0.0000 0.1622 0.6656
Ac4 Ac 0.5000 0.1623 0.1155
Ac5 Ac 0.5000 0.1623 0.4487
Ac6 Ac 0.5000 0.1626 0.7815
La1 La 0.0000 0.0000 0.8384
Pm1 Pm 0.0000 0.0000 0.1707
Pm2 Pm 0.0000 0.0000 0.5039
Pm3 Pm 0.5000 0.0000 0.2777
Pm4 Pm 0.5000 0.0000 0.6105
Pm5 Pm 0.5000 0.0000 0.9450
```

---

[11]
This entry pairs a crystal structure of AcPm6Hg2 with its theoretical powder XRD pattern. Radiation: Cu Kα. Structure: DFT lattice parameters and positions (PBE).
Peak positions follow from Bragg's law for the DFT cell and can differ from measured ones.

Largest 10 diffraction maxima, in order of rising 2θ, 5° ≤ 2θ ≤ 70°:
Position (°2θ), I (rel.), (hkl)
25.6, 11, 1 1 1
29.0, 100, 1 1 2
29.1, 19, 1 0 3
34.0, 20, 1 1 3
34.7, 59, 2 0 0
35.9, 18, 1 0 4
45.9, 11, 2 1 3
49.9, 21, 2 2 0
50.8, 14, 2 1 4
58.8, 30, 3 1 2

Structure:
```
data_AcPm6Hg2
_chemical_formula_sum 'Ac1 Pm6 Hg2'
_space_group_name_H-M_alt 'P 4/m m m'
_space_group_IT_number 123
_space_group_name_Hall '-P 4 2'
_cell_length_a 5.1698
_cell_length_b 5.1698
_cell_length_c 11.4238
_cell_angle_alpha 90.00
_cell_angle_beta 90.00
_cell_angle_gamma 90.00
loop_
_atom_site_label
_atom_site_type_symbol
_atom_site_fract_x
_atom_site_fract_y
_atom_site_fract_z
Ac1 Ac 0.0000 0.0000 0.0000
Pm1 Pm 0.0000 0.0000 0.5000
Pm2 Pm 0.0000 0.5000 0.2748
Pm3 Pm 0.5000 0.5000 0.5000
Hg1 Hg 0.5000 0.5000 0.1209
```

---

[12]
This entry pairs a crystal structure of Cd2CuH with its theoretical powder XRD pattern. Radiation: Cu Kα. Structure: DFT lattice parameters and positions (PBE).
Peak positions follow from Bragg's law for the DFT cell and can differ from measured ones.

Largest 8 diffraction maxima, in order of rising 2θ, 5° ≤ 2θ ≤ 70°:
Position (°2θ), I (rel.), (hkl)
24.4, 13, 1 1 1
28.2, 37, 2 0 0
40.3, 100, 2 2 0
47.6, 6, 3 1 1
49.9, 10, 2 2 2
58.3, 16, 4 0 0
64.1, 2, 3 3 1
66.0, 13, 4 2 0

Structure:
```
data_Cd2CuH
_chemical_formula_sum 'Cd8 Cu4 H4'
_space_group_name_H-M_alt 'F m -3 m'
_space_group_IT_number 225
_space_group_name_Hall '-F 4 2 3'
_cell_length_a 6.3298
_cell_length_b 6.3298
_cell_length_c 6.3298
_cell_angle_alpha 90.00
_cell_angle_beta 90.00
_cell_angle_gamma 90.00
loop_
_atom_site_label
_atom_site_type_symbol
_atom_site_fract_x
_atom_site_fract_y
_atom_site_fract_z
Cd1 Cd 0.2500 0.2500 0.2500
Cu1 Cu 0.0000 0.0000 0.0000
H1 H 0.0000 0.0000 0.5000
```